[1]
This entry pairs a crystal structure of NaMn2AgCl6 with its calculated powder diffractogram. Radiation: a wavelength of 1.5418 Å. Structure: a PBE-relaxed structure.
Intensities are scaled so that the largest is 100.

Top 12 peaks for 10 to 90 degrees two-theta, in order of rising 2θ:
2theta, Rel. int.
15.07, 18
16.03, 54
18.26, 26
25.34, 87
26.51, 44
30.63, 100
37.00, 73
40.78, 66
46.09, 44
46.80, 65
54.18, 17
74.16, 19

Structure:
```
data_NaMn2AgCl6
_chemical_formula_sum 'Na3 Mn6 Ag3 Cl18'
_cell_length_a 6.7249
_cell_length_b 6.7249
_cell_length_c 17.6321
_cell_angle_alpha 90.00
_cell_angle_beta 90.00
_cell_angle_gamma 120.00
_symmetry_space_group_name_H-M 'R 3'
_symmetry_Int_Tables_number 146
_symmetry_space_group_name_Hall 'R 3'
loop_
_atom_site_label
_atom_site_type_symbol
_atom_site_fract_x
_atom_site_fract_y
_atom_site_fract_z
Na1 Na 0.0000 0.0000 0.0000
Mn1 Mn 0.0000 0.0000 0.2082
Mn2 Mn 0.0000 0.0000 0.7043
Ag1 Ag 0.0000 0.0000 0.4888
Cl1 Cl 0.0501 0.3402 0.7820
Cl2 Cl 0.0548 0.7137 0.2817
```

[2]
This entry pairs a crystal structure of Dy5Y2Tm2 with its calculated powder diffractogram. Radiation: a wavelength of 1.5418 Å. Structure: a PBE-relaxed structure.
Intensities are scaled so that the largest is 100.

Top 12 peaks for 10 to 90 degrees two-theta, in order of rising 2θ:
2theta, Rel. int.
16.45, 6
30.23, 26
31.17, 29
32.36, 100
38.94, 7
43.98, 18
48.77, 8
55.06, 14
56.23, 21
59.02, 9
73.51, 6
80.62, 7

Structure:
```
data_Dy5Y2Tm2
_chemical_formula_sum 'Dy10 Y4 Tm4'
_cell_length_a 16.307
_cell_length_b 5.738
_cell_length_c 6.328
_cell_angle_alpha 90.00
_cell_angle_beta 105.67
_cell_angle_gamma 90.00
_symmetry_space_group_name_H-M 'C 1 2/m 1'
_symmetry_Int_Tables_number 12
_symmetry_space_group_name_Hall '-C 2y'
loop_
_atom_site_label
_atom_site_type_symbol
_atom_site_fract_x
_atom_site_fract_y
_atom_site_fract_z
Dy1 Dy 0.000 0.000 0.000
Dy2 Dy 0.179 0.500 0.359
Dy3 Dy 0.209 0.000 0.067
Y1 Y 0.062 0.500 0.784
Tm1 Tm 0.101 0.000 0.519
```

[3]
This entry pairs a crystal structure of KAc2C2N6 with its calculated powder diffractogram. Radiation: a wavelength of 1.5418 Å. Structure: a PBE-relaxed structure.
Intensities are scaled so that the largest is 100.

Top 12 peaks for 10 to 90 degrees two-theta, in order of rising 2θ:
2theta, Rel. int.
14.89, 56
17.48, 98
18.57, 55
19.76, 81
22.83, 69
24.46, 100
25.40, 49
26.82, 81
27.90, 86
29.60, 47
32.02, 48
33.18, 47

Structure:
```
data_KAc2C2N6
_chemical_formula_sum 'K1 Ac2 C2 N6'
_cell_length_a 5.802
_cell_length_b 5.866
_cell_length_c 6.825
_cell_angle_alpha 113.93
_cell_angle_beta 100.42
_cell_angle_gamma 102.53
_symmetry_space_group_name_H-M 'P -1'
_symmetry_Int_Tables_number 2
_symmetry_space_group_name_Hall '-P 1'
loop_
_atom_site_label
_atom_site_type_symbol
_atom_site_fract_x
_atom_site_fract_y
_atom_site_fract_z
K1 K 0.000 0.000 0.000
Ac1 Ac 0.268 0.382 0.667
C1 C 0.244 0.708 0.274
N1 N 0.167 0.917 0.362
N2 N 0.230 0.540 0.366
N3 N 0.332 0.657 0.098
```

[4]
This entry pairs a crystal structure of DyTl5F8 with its calculated powder diffractogram. Radiation: a wavelength of 1.5418 Å. Structure: a PBE-relaxed structure.
Intensities are scaled so that the largest is 100.

Top 12 peaks for 10 to 90 degrees two-theta, in order of rising 2θ:
2theta, Rel. int.
25.94, 48
27.14, 100
30.51, 17
32.93, 26
35.47, 17
35.78, 29
40.19, 17
41.56, 16
51.49, 15
52.20, 16
55.99, 16
59.18, 18

Structure:
```
data_DyTl5F8
_chemical_formula_sum 'Dy2 Tl10 F16'
_cell_length_a 7.937
_cell_length_b 7.937
_cell_length_c 8.686
_cell_angle_alpha 90.00
_cell_angle_beta 90.00
_cell_angle_gamma 90.00
_symmetry_space_group_name_H-M 'I -4'
_symmetry_Int_Tables_number 82
_symmetry_space_group_name_Hall 'I -4'
loop_
_atom_site_label
_atom_site_type_symbol
_atom_site_fract_x
_atom_site_fract_y
_atom_site_fract_z
Dy1 Dy 0.000 0.000 0.000
Tl1 Tl 0.000 0.500 0.750
Tl2 Tl 0.113 0.764 0.371
F1 F 0.058 0.836 0.781
F2 F 0.074 0.735 0.079
```

[5]
This entry pairs a crystal structure of Hg3SeS2 with its calculated powder diffractogram. Radiation: a wavelength of 1.5418 Å. Structure: a PBE-relaxed structure.
Intensities are scaled so that the largest is 100.

Top 12 peaks for 10 to 90 degrees two-theta, in order of rising 2θ:
2theta, Rel. int.
23.88, 51
25.34, 40
27.09, 100
35.10, 26
42.00, 45
45.74, 48
49.69, 39
50.69, 19
63.83, 18
67.87, 15
71.76, 13
79.38, 19

Structure:
```
data_Hg3SeS2
_chemical_formula_sum 'Hg12 Se4 S8'
_cell_length_a 12.912
_cell_length_b 7.450
_cell_length_c 7.030
_cell_angle_alpha 90.00
_cell_angle_beta 90.00
_cell_angle_gamma 90.00
_symmetry_space_group_name_H-M 'C m c 21'
_symmetry_Int_Tables_number 36
_symmetry_space_group_name_Hall 'C 2c -2'
loop_
_atom_site_label
_atom_site_type_symbol
_atom_site_fract_x
_atom_site_fract_y
_atom_site_fract_z
Hg1 Hg 0.000 0.176 0.000
Hg2 Hg 0.171 0.339 0.516
Se1 Se 0.000 0.170 0.386
S1 S 0.168 0.335 0.887
```

[6]
This entry pairs a crystal structure of Pm2AlO4 with its calculated powder diffractogram. Radiation: a wavelength of 1.5418 Å. Structure: a PBE-relaxed structure.
Intensities are scaled so that the largest is 100.

Top 12 peaks for 10 to 90 degrees two-theta, in order of rising 2θ:
2theta, Rel. int.
17.29, 20
22.89, 100
26.02, 32
27.27, 29
28.23, 24
30.05, 63
31.21, 30
39.41, 42
41.02, 31
41.46, 28
41.69, 30
63.21, 23

Structure:
```
data_Pm2AlO4
_chemical_formula_sum 'Pm4 Al2 O8'
_cell_length_a 5.501
_cell_length_b 5.948
_cell_length_c 6.781
_cell_angle_alpha 90.00
_cell_angle_beta 111.17
_cell_angle_gamma 90.00
_symmetry_space_group_name_H-M 'P 1 21/m 1'
_symmetry_Int_Tables_number 11
_symmetry_space_group_name_Hall '-P 2yb'
loop_
_atom_site_label
_atom_site_type_symbol
_atom_site_fract_x
_atom_site_fract_y
_atom_site_fract_z
Pm1 Pm 0.110 0.250 0.015
Pm2 Pm 0.259 0.250 0.569
Al1 Al 0.298 0.750 0.802
O1 O 0.060 0.525 0.725
O2 O 0.462 0.750 0.077
O3 O 0.488 0.250 0.338
```

[7]
This entry pairs a crystal structure of TmSb2Rh3 with its calculated powder diffractogram. Radiation: a wavelength of 1.5418 Å. Structure: a PBE-relaxed structure.
Intensities are scaled so that the largest is 100.

Top 12 peaks for 10 to 90 degrees two-theta, in order of rising 2θ:
2theta, Rel. int.
29.82, 23
32.09, 23
33.43, 33
34.37, 26
34.65, 100
35.16, 24
35.50, 24
37.81, 24
42.13, 44
42.48, 23
43.47, 58
45.63, 18

Structure:
```
data_TmSb2Rh3
_chemical_formula_sum 'Tm6 Sb12 Rh18'
_cell_length_a 17.539
_cell_length_b 4.164
_cell_length_c 9.980
_cell_angle_alpha 90.00
_cell_angle_beta 107.39
_cell_angle_gamma 90.00
_symmetry_space_group_name_H-M 'C 1 2/m 1'
_symmetry_Int_Tables_number 12
_symmetry_space_group_name_Hall '-C 2y'
loop_
_atom_site_label
_atom_site_type_symbol
_atom_site_fract_x
_atom_site_fract_y
_atom_site_fract_z
Tm1 Tm 0.000 0.000 0.000
Tm2 Tm 0.165 0.000 0.716
Sb1 Sb 0.043 0.500 0.783
Sb2 Sb 0.139 0.500 0.461
Sb3 Sb 0.187 0.000 0.124
Rh1 Rh 0.000 0.500 0.500
Rh2 Rh 0.040 0.000 0.324
Rh3 Rh 0.110 0.500 0.189
Rh4 Rh 0.185 0.500 0.954
Rh5 Rh 0.214 0.000 0.394
```

[8]
This entry pairs a crystal structure of NaPbBr4 with its calculated powder diffractogram. Radiation: a wavelength of 1.5418 Å. Structure: a PBE-relaxed structure.
Intensities are scaled so that the largest is 100.

Top 12 peaks for 10 to 90 degrees two-theta, in order of rising 2θ:
2theta, Rel. int.
13.13, 65
13.39, 37
13.86, 32
21.67, 23
27.12, 100
27.93, 49
35.56, 37
36.31, 25
41.98, 19
42.16, 37
47.68, 24
51.18, 18

Structure:
```
data_NaPbBr4
_chemical_formula_sum 'Na2 Pb2 Br8'
_cell_length_a 15.138
_cell_length_b 4.304
_cell_length_c 7.420
_cell_angle_alpha 90.00
_cell_angle_beta 117.00
_cell_angle_gamma 90.00
_symmetry_space_group_name_H-M 'C 1 2/m 1'
_symmetry_Int_Tables_number 12
_symmetry_space_group_name_Hall '-C 2y'
loop_
_atom_site_label
_atom_site_type_symbol
_atom_site_fract_x
_atom_site_fract_y
_atom_site_fract_z
Na1 Na 0.000 0.000 0.000
Pb1 Pb 0.000 0.500 0.500
Br1 Br 0.116 0.500 0.289
Br2 Br 0.125 0.000 0.775
```

[9]
This entry pairs a crystal structure of Tb3PmAl4 with its calculated powder diffractogram. Radiation: a wavelength of 1.5418 Å. Structure: a PBE-relaxed structure.
Intensities are scaled so that the largest is 100.

Top 12 peaks for 10 to 90 degrees two-theta, in order of rising 2θ:
2theta, Rel. int.
24.39, 20
24.50, 40
34.87, 100
43.06, 18
50.22, 12
56.43, 8
56.62, 17
62.43, 12
62.58, 24
73.58, 8
78.89, 6
84.27, 11

Structure:
```
data_Tb3PmAl4
_chemical_formula_sum 'Tb3 Pm1 Al4'
_cell_length_a 5.138
_cell_length_b 5.138
_cell_length_c 7.298
_cell_angle_alpha 90.00
_cell_angle_beta 90.00
_cell_angle_gamma 90.00
_symmetry_space_group_name_H-M 'P 4/m m m'
_symmetry_Int_Tables_number 123
_symmetry_space_group_name_Hall '-P 4 2'
loop_
_atom_site_label
_atom_site_type_symbol
_atom_site_fract_x
_atom_site_fract_y
_atom_site_fract_z
Tb1 Tb 0.000 0.000 0.000
Tb2 Tb 0.000 0.000 0.500
Tb3 Tb 0.500 0.500 0.000
Pm1 Pm 0.500 0.500 0.500
Al1 Al 0.000 0.500 0.245
```

[10]
This entry pairs a crystal structure of Be3Zn2 with its calculated powder diffractogram. Radiation: a wavelength of 1.5418 Å. Structure: a PBE-relaxed structure.
Intensities are scaled so that the largest is 100.

Top 12 peaks for 10 to 90 degrees two-theta, in order of rising 2θ:
2theta, Rel. int.
18.01, 100
27.16, 31
41.33, 36
43.07, 29
44.09, 66
46.07, 18
51.96, 39
54.01, 18
60.95, 8
66.18, 10
75.11, 13
78.00, 21

Structure:
```
data_Be3Zn2
_chemical_formula_sum 'Be9 Zn6'
_cell_length_a 2.5296
_cell_length_b 2.5296
_cell_length_c 29.5542
_cell_angle_alpha 90.00
_cell_angle_beta 90.00
_cell_angle_gamma 120.00
_symmetry_space_group_name_H-M 'R -3 m'
_symmetry_Int_Tables_number 166
_symmetry_space_group_name_Hall '-R 3 2"'
loop_
_atom_site_label
_atom_site_type_symbol
_atom_site_fract_x
_atom_site_fract_y
_atom_site_fract_z
Be1 Be 0.0000 0.0000 0.0000
Be2 Be 0.0000 0.0000 0.1947
Zn1 Zn 0.0000 0.0000 0.4022
```

[11]
This entry pairs a crystal structure of Tb4YMg3 with its calculated powder diffractogram. Radiation: a wavelength of 1.5418 Å. Structure: a PBE-relaxed structure.
Intensities are scaled so that the largest is 100.

Top 12 peaks for 10 to 90 degrees two-theta, in order of rising 2θ:
2theta, Rel. int.
22.89, 41
23.37, 20
32.41, 25
32.77, 26
32.94, 100
40.64, 10
46.76, 18
52.92, 13
58.15, 18
58.61, 19
58.94, 10
69.10, 11

Structure:
```
data_Tb4YMg3
_chemical_formula_sum 'Tb4 Y1 Mg3'
_cell_length_a 3.806
_cell_length_b 5.466
_cell_length_c 11.049
_cell_angle_alpha 90.00
_cell_angle_beta 90.00
_cell_angle_gamma 90.00
_symmetry_space_group_name_H-M 'P m m m'
_symmetry_Int_Tables_number 47
_symmetry_space_group_name_Hall '-P 2 2'
loop_
_atom_site_label
_atom_site_type_symbol
_atom_site_fract_x
_atom_site_fract_y
_atom_site_fract_z
Tb1 Tb 0.000 0.000 0.000
Tb2 Tb 0.000 0.000 0.500
Tb3 Tb 0.000 0.500 0.238
Y1 Y 0.500 0.500 0.500
Mg1 Mg 0.500 0.000 0.249
Mg2 Mg 0.500 0.500 0.000
```

[12]
This entry pairs a crystal structure of BeIrBr4 with its calculated powder diffractogram. Radiation: a wavelength of 1.5418 Å. Structure: a PBE-relaxed structure.
Intensities are scaled so that the largest is 100.

Top 12 peaks for 10 to 90 degrees two-theta, in order of rising 2θ:
2theta, Rel. int.
18.00, 28
20.81, 26
29.59, 27
34.85, 100
36.46, 38
47.63, 14
52.51, 11
55.96, 34
61.43, 24
72.61, 12
73.59, 15
87.83, 23

Structure:
```
data_BeIrBr4
_chemical_formula_sum 'Be4 Ir4 Br16'
_cell_length_a 8.538
_cell_length_b 8.538
_cell_length_c 8.538
_cell_angle_alpha 90.00
_cell_angle_beta 90.00
_cell_angle_gamma 90.00
_symmetry_space_group_name_H-M 'F -4 3 m'
_symmetry_Int_Tables_number 216
_symmetry_space_group_name_Hall 'F -4 2 3'
loop_
_atom_site_label
_atom_site_type_symbol
_atom_site_fract_x
_atom_site_fract_y
_atom_site_fract_z
Be1 Be 0.000 0.000 0.000
Ir1 Ir 0.250 0.250 0.250
Br1 Br 0.124 0.124 0.624
```